Calculated PXRD pattern
Compound: Na5MnO5
Radiation: Cu Ka
Structure: DFT lattice parameters and positions (PBE+U)
Neutral-atom scattering factors, no anomalous dispersion.

Peak list (10 most intense, 2θ = 10–80°, in order of rising 2θ)
- d = 5.128 Å, 2θ = 17.3°, intensity 64
- d = 4.490 Å, 2θ = 19.8°, intensity 89
- d = 4.016 Å, 2θ = 22.1°, intensity 94
- d = 2.677 Å, 2θ = 33.5°, intensity 56
- d = 2.650 Å, 2θ = 33.8°, intensity 59
- d = 2.553 Å, 2θ = 35.2°, intensity 79
- d = 2.232 Å, 2θ = 40.4°, intensity 100
- d = 2.184 Å, 2θ = 41.3°, intensity 64
- d = 1.850 Å, 2θ = 49.3°, intensity 54
- d = 1.680 Å, 2θ = 54.6°, intensity 34

Atomic structure:
```
Na5MnO5
1.0
3.1019 -5.1053 0.0000
3.1019 5.1053 0.0000
-2.8994 0.0000 9.4303
Na Mn O
10 2 10
Direct
0.0638 0.2832 0.5546
0.1586 0.8414 0.7500
0.1603 0.4787 0.9149
0.2832 0.0638 0.0546
0.4787 0.1603 0.4149
0.5213 0.8397 0.5851
0.7168 0.9362 0.9454
0.8397 0.5213 0.0851
0.8414 0.1586 0.2500
0.9362 0.7168 0.4454
0.4026 0.5974 0.2500
0.5974 0.4026 0.7500
0.0976 0.3080 0.1052
0.2031 0.5596 0.3714
0.3080 0.0976 0.6052
0.4229 0.5771 0.7500
0.4404 0.7969 0.1286
0.5596 0.2031 0.8714
0.5771 0.4229 0.2500
0.6920 0.9024 0.3948
0.7969 0.4404 0.6286
0.9024 0.6920 0.8948
```